Entry 1:
Ba2ZnHg: simulated powder diffractogram (Cu Kα X-rays), based on a crystal structure in the Materials Project, relaxed with GGA-PBE.
Neutral-atom scattering factors, no anomalous dispersion.

Main lines, in order of rising 2θ (2θ = 10–90°):
2θ = 18.41°, I 12; 2θ = 30.29°, I 100; 2θ = 35.68°, I 8; 2θ = 43.37°, I 19; 2θ = 47.49°, I 3; 2θ = 53.81°, I 40; 2θ = 63.00°, I 12; 2θ = 71.49°, I 17; 2θ = 79.58°, I 4; 2θ = 87.46°, I 21

Atomic structure:
```
Ba2ZnHg
1.0
0.000 4.173 4.173
4.173 0.000 4.173
4.173 4.173 0.000
Ba Zn Hg
2 1 1
direct
0.250 0.250 0.250
0.750 0.750 0.750
0.000 0.000 0.000
0.500 0.500 0.500
```

---

Entry 2:
MgSb2O4F2: simulated powder diffractogram (Cu Kα X-rays), based on a crystal structure in the Materials Project, relaxed with GGA-PBE.
Neutral-atom scattering factors, no anomalous dispersion.

Main lines, in order of rising 2θ (2θ = 10–90°):
2θ = 21.82°, I 94; 2θ = 22.04°, I 100; 2θ = 22.45°, I 87; 2θ = 28.74°, I 44; 2θ = 29.33°, I 46; 2θ = 31.53°, I 44; 2θ = 31.79°, I 30; 2θ = 33.00°, I 25; 2θ = 36.23°, I 26; 2θ = 47.66°, I 38

Atomic structure:
```
MgSb2O4F2
1.0
5.279 0.000 0.000
2.458 4.876 0.000
2.241 1.370 5.161
Mg Sb O F
1 2 4 2
direct
0.000 0.000 0.000
0.147 0.263 0.402
0.654 0.654 0.942
0.262 0.613 0.192
0.402 0.997 0.766
0.820 0.386 0.719
0.878 0.320 0.177
0.006 0.780 0.755
0.648 0.880 0.170
```

---

Entry 3:
Hf2Se3: simulated powder diffractogram (Cu Kα X-rays), based on a crystal structure in the Materials Project, relaxed with GGA-PBE.
Neutral-atom scattering factors, no anomalous dispersion.

Main lines, in order of rising 2θ (2θ = 10–90°):
2θ = 13.98°, I 31; 2θ = 28.60°, I 29; 2θ = 31.15°, I 39; 2θ = 35.03°, I 100; 2θ = 39.91°, I 29; 2θ = 45.54°, I 31; 2θ = 48.99°, I 52; 2θ = 61.64°, I 20; 2θ = 79.48°, I 22; 2θ = 82.46°, I 17

Atomic structure:
```
Hf2Se3
1.0
5.580 -3.220 0.000
5.580 3.220 0.000
-3.722 0.000 12.673
Hf Se
8 12
direct
0.082 0.918 0.500
0.248 0.417 0.000
0.417 0.248 0.500
0.495 0.663 0.733
0.584 0.751 0.000
0.663 0.495 0.233
0.751 0.584 0.500
0.918 0.082 0.000
0.041 0.204 0.368
0.114 0.626 0.629
0.204 0.041 0.868
0.279 0.806 0.130
0.372 0.540 0.372
0.459 0.975 0.630
0.540 0.372 0.872
0.626 0.114 0.129
0.706 0.875 0.368
0.806 0.279 0.630
0.875 0.706 0.868
0.975 0.459 0.130
```